# 1
The following is a simulated powder diffraction line list of NdTmGa4Pt2. It was derived from a structure optimized by DFT (GGA-PBE), using λ = 1.5418 Å (Cu Kα).
Kinematic intensities with the Lorentz-polarization factor, no thermal factor.

The 10 most intense peaks (10 to 80 degrees two-theta), most intense first:
- 2θ = 35.82°, rel. 100
- 2θ = 34.63°, rel. 80
- 2θ = 37.44°, rel. 46
- 2θ = 41.22°, rel. 42
- 2θ = 42.87°, rel. 34
- 2θ = 26.35°, rel. 30
- 2θ = 56.89°, rel. 27
- 2θ = 46.13°, rel. 20
- 2θ = 52.91°, rel. 17
- 2θ = 67.24°, rel. 16

Structural model:
Unit cell a=6.764 b=5.587 c=5.587 alpha=46.16 beta=90.00 gamma=90.00
Atoms (fractional coordinates):
Nd 0.000 0.000 0.000
Tm 0.500 0.835 0.835
Ga 0.200 0.288 0.288
Ga 0.306 0.552 0.552
Ga 0.694 0.552 0.552
Ga 0.800 0.288 0.288
Pt 0.000 0.712 0.712
Pt 0.500 0.124 0.124

***

# 2
The following is a simulated powder diffraction line list of NdZnGaPt3. It was derived from a structure optimized by DFT (GGA-PBE), using λ = 1.5418 Å (Cu Kα).
Kinematic intensities with the Lorentz-polarization factor, no thermal factor.

The 10 most intense peaks (10 to 80 degrees two-theta), most intense first:
- 2θ = 37.11°, rel. 100
- 2θ = 39.19°, rel. 95
- 2θ = 43.58°, rel. 78
- 2θ = 28.80°, rel. 65
- 2θ = 59.66°, rel. 52
- 2θ = 44.95°, rel. 35
- 2θ = 66.89°, rel. 32
- 2θ = 61.88°, rel. 25
- 2θ = 79.03°, rel. 24
- 2θ = 22.04°, rel. 24

Structural model:
Unit cell a=5.595 b=5.595 c=4.033 alpha=90.00 beta=90.00 gamma=120.00
Atoms (fractional coordinates):
Nd 0.000 0.000 0.000
Zn 0.667 0.333 0.000
Ga 0.333 0.667 0.000
Pt 0.500 0.001 0.500
Pt 0.500 0.500 0.500
Pt 0.999 0.500 0.500